Diffraction record for PrHoB2Ir2N2. The powder diffraction line list is simulated, not measured: it uses a DFT-relaxed cell (PBE, OQMD) and a wavelength of 1.5418 Å.
Neutral-atom scattering factors, no anomalous dispersion.

Structural model:
Cell lengths 3.7830, 3.7830, 7.5225 Å; angles 90.00, 90.00, 90.00 degrees
Element x y z (fractional)
Pr1 0.0000 0.0000 0.0000
Ho1 0.5000 0.5000 0.3290
B1 0.0000 0.0000 0.5144
B2 0.5000 0.5000 0.8202
Ir1 0.0000 0.5000 0.6627
Ir2 0.5000 0.0000 0.6627
N1 0.0000 0.0000 0.3169
N2 0.5000 0.5000 0.0208

Peak list (10 most intense, 2θ from 10° to 80°, in order of falling intensity)
d = 2.520 Å, I 100, (1 1 1); d = 2.180 Å, I 65, (1 1 2); d = 7.523 Å, I 54, (0 0 1); d = 2.508 Å, I 40, (0 0 3); d = 1.891 Å, I 38, (2 0 0); d = 3.380 Å, I 37, (1 0 1); d = 1.510 Å, I 34, (2 0 3); d = 2.667 Å, I 27, (1 0 2); d = 1.538 Å, I 25, (1 1 4); d = 1.337 Å, I 12, (2 2 0)

***

Diffraction record for TbSmGa2I2. The powder diffraction line list is simulated, not measured: it uses a DFT-relaxed cell (PBE, OQMD) and a wavelength of 1.5418 Å.
Neutral-atom scattering factors, no anomalous dispersion.

Structural model:
Cell lengths 4.2395, 4.2395, 11.7509 Å; angles 90.00, 90.00, 120.00 degrees
Element x y z (fractional)
Tb1 0.0000 0.0000 0.0000
Sm1 0.0000 0.0000 0.6521
Ga1 0.3333 0.6667 0.8566
Ga2 0.6667 0.3333 0.8000
I1 0.3333 0.6667 0.4779
I2 0.6667 0.3333 0.1693

Peak list (10 most intense, 2θ from 10° to 80°, in order of falling intensity)
d = 2.679 Å, I 100, (1 0 3); d = 3.114 Å, I 64, (1 0 2); d = 2.120 Å, I 53, (1 1 0); d = 3.504 Å, I 38, (1 0 1); d = 1.662 Å, I 24, (0 2 3); d = 1.979 Å, I 22, (0 1 5); d = 1.308 Å, I 21, (2 1 3); d = 1.438 Å, I 21, (1 1 6); d = 1.752 Å, I 12, (0 2 2); d = 1.351 Å, I 10, (2 1 2)

***

Diffraction record for Hf3NiAs4Pd3. The powder diffraction line list is simulated, not measured: it uses a DFT-relaxed cell (PBE, OQMD) and a wavelength of 1.5418 Å.
Neutral-atom scattering factors, no anomalous dispersion.

Structural model:
Cell lengths 6.5754, 3.8939, 7.6575 Å; angles 90.00, 90.14, 90.00 degrees
Element x y z (fractional)
Hf1 0.0000 0.0000 0.0000
Hf2 0.0808 0.5000 0.3788
Hf3 0.5051 0.0000 0.8738
Ni1 0.1736 0.5000 0.7478
As1 0.2848 0.5000 0.0507
As2 0.3104 0.0000 0.5773
As3 0.7823 0.5000 0.8043
As4 0.7932 0.0000 0.3192
Pd1 0.3904 0.0000 0.2576
Pd2 0.6907 0.5000 0.1308
Pd3 0.9177 0.0000 0.6289

Peak list (10 most intense, 2θ from 10° to 80°, in order of falling intensity)
d = 2.387 Å, I 100, (2 1 1); d = 2.522 Å, I 77, (1 1 -2); d = 2.512 Å, I 58, (2 1 0); d = 2.135 Å, I 49, (0 1 3); d = 1.947 Å, I 44, (0 2 0); d = 2.379 Å, I 37, (1 0 3); d = 2.030 Å, I 31, (1 1 3); d = 7.657 Å, I 25, (0 0 1); d = 4.988 Å, I 21, (1 0 1); d = 2.493 Å, I 20, (2 0 2)

***

Diffraction record for ScCoCu4Ge2. The powder diffraction line list is simulated, not measured: it uses a DFT-relaxed cell (PBE, OQMD) and a wavelength of 1.5418 Å.
Neutral-atom scattering factors, no anomalous dispersion.

Structural model:
Cell lengths 4.2920, 4.2920, 5.9505 Å; angles 90.00, 90.00, 90.00 degrees
Element x y z (fractional)
Sc1 0.0000 0.0000 0.0000
Co1 0.5000 0.5000 0.5000
Cu1 0.0000 0.5000 0.2718
Cu2 0.0000 0.5000 0.7282
Cu3 0.5000 0.0000 0.2718
Cu4 0.5000 0.0000 0.7282
Ge1 0.0000 0.0000 0.5000
Ge2 0.5000 0.5000 0.0000

Peak list (10 most intense, 2θ from 10° to 80°, in order of falling intensity)
d = 2.125 Å, I 100, (1 1 2); d = 2.146 Å, I 54, (2 0 0); d = 1.235 Å, I 31, (3 1 2); d = 1.517 Å, I 17, (2 2 0); d = 1.223 Å, I 13, (2 0 4); d = 1.488 Å, I 7, (0 0 4); d = 5.950 Å, I 4, (0 0 1); d = 1.660 Å, I 3, (1 1 3); d = 3.481 Å, I 3, (1 0 1); d = 1.827 Å, I 1, (2 1 1)